Diffraction record for MgTe4Mo2W2S4. The powder XRD pattern is computed, not measured: it uses a crystal structure in the Materials Project, relaxed with GGA-PBE and Cu Kα (weighted mean of Kα1 and Kα2).
Intensities are scaled so that the largest is 100.

Top 8 peaks for 2θ from 15° to 90°, in order of rising 2θ:
Position (°2θ)  d_spacing  I/Imax
30.71  2.911  41
32.91  2.721  17
33.84  2.649  21
36.12  2.487  100
38.87  2.317  36
43.74  2.070  46
54.59  1.681  29
67.22  1.393  16

Cell and atoms:
Unit cell a=3.362 b=3.362 c=38.247 alpha=90.00 beta=90.00 gamma=120.00
Sites, in units of the cell vectors:
Mg (0.000, 0.000, 0.000)
Te (0.009, 0.968, 0.167)
Te (0.009, 0.968, 0.266)
Te (0.342, 0.635, 0.731)
Te (0.342, 0.635, 0.830)
Mo (0.009, 0.968, 0.405)
Mo (0.342, 0.635, 0.592)
W (0.009, 0.968, 0.780)
W (0.342, 0.635, 0.217)
S (0.009, 0.968, 0.553)
S (0.009, 0.968, 0.632)
S (0.342, 0.635, 0.365)
S (0.342, 0.635, 0.444)

Diffraction record for MgTe4Mo2WS2. The powder XRD pattern is computed, not measured: it uses a crystal structure in the Materials Project, relaxed with GGA-PBE and Cu Kα (weighted mean of Kα1 and Kα2).
Intensities are scaled so that the largest is 100.

Top 8 peaks for 2θ from 15° to 90°, in order of rising 2θ:
Position (°2θ)  d_spacing  I/Imax
30.27  2.952  63
30.81  2.902  30
34.84  2.575  80
36.36  2.471  100
39.90  2.260  47
41.88  2.157  29
43.98  2.059  66
53.79  1.704  49

Cell and atoms:
Unit cell a=3.409 b=3.409 c=31.598 alpha=90.00 beta=90.00 gamma=60.00
Sites, in units of the cell vectors:
Mg (0.000, 0.000, 0.000)
Te (0.542, 0.542, 0.206)
Te (0.542, 0.542, 0.325)
Te (0.542, 0.542, 0.669)
Te (0.542, 0.542, 0.787)
Mo (0.208, 0.208, 0.728)
Mo (0.542, 0.542, 0.497)
W (0.208, 0.208, 0.265)
S (0.208, 0.208, 0.449)
S (0.208, 0.208, 0.544)

Diffraction record for MgTe2Mo2WS4. The powder XRD pattern is computed, not measured: it uses a crystal structure in the Materials Project, relaxed with GGA-PBE and Cu Kα (weighted mean of Kα1 and Kα2).
Intensities are scaled so that the largest is 100.

Top 8 peaks for 2θ from 15° to 90°, in order of rising 2θ:
Position (°2θ)  d_spacing  I/Imax
31.32  2.856  59
31.46  2.844  42
33.54  2.672  34
36.14  2.485  100
37.75  2.383  97
41.49  2.177  34
45.80  1.981  59
55.76  1.648  57

Cell and atoms:
Unit cell a=3.298 b=3.298 c=30.253 alpha=90.00 beta=90.00 gamma=60.00
Sites, in units of the cell vectors:
Mg (0.000, 0.000, 0.000)
Te (0.972, 0.904, 0.653)
Te (0.972, 0.904, 0.780)
Mo (0.638, 0.571, 0.716)
Mo (0.972, 0.904, 0.485)
W (0.638, 0.571, 0.254)
S (0.638, 0.571, 0.435)
S (0.638, 0.571, 0.536)
S (0.972, 0.904, 0.203)
S (0.972, 0.904, 0.305)

Q: Number 2 is which compound?
A: MgTe4Mo2WS2